1.
Structure and computed powder diffraction line list of PrTeS3 (a GGA-PBE-relaxed structure; Cu Kα, 1.54184 Å).
Kinematic intensities with the Lorentz-polarization factor, no thermal factor.

Structure:
```
data_PrTeS3
_chemical_formula_sum 'Pr2 Te2 S6'
_space_group_name_H-M_alt 'P 1 21/m 1'
_space_group_IT_number 11
_space_group_name_Hall '-P 2yb'
_cell_length_a 4.0499
_cell_length_b 9.4190
_cell_length_c 7.7309
_cell_angle_alpha 90.00
_cell_angle_beta 96.49
_cell_angle_gamma 90.00
loop_
_atom_site_label
_atom_site_type_symbol
_atom_site_fract_x
_atom_site_fract_y
_atom_site_fract_z
Pr1 Pr 0.2326 0.2500 0.0606
Te1 Te 0.3740 0.7500 0.3704
S1 S 0.2069 0.7500 0.6802
S2 S 0.3205 0.5713 0.1230
```

Principal peaks in the range 5° ≤ 2θ ≤ 70°, low angle first:
Position (°2θ)	d/Å	intensity	hkl
11.52	7.681	31.7	0 0 1
18.84	4.710	100.0	0 2 0
23.77	3.743	27.8	1 0 -1
25.04	3.556	41.4	0 1 2
27.83	3.206	86.9	1 1 1
31.79	2.815	32.4	1 1 -2
36.98	2.431	37.1	0 3 2
38.22	2.355	20.2	0 4 0
39.00	2.310	43.6	1 3 1
42.03	2.150	21.6	1 3 -2

=====

2.
Structure and computed powder diffraction line list of Ca2CdCo2 (a GGA-PBE-relaxed structure; Cu Kα, 1.54184 Å).
Kinematic intensities with the Lorentz-polarization factor, no thermal factor.

Structure:
```
data_Ca2CdCo2
_chemical_formula_sum 'Ca4 Cd2 Co4'
_space_group_name_H-M_alt 'I 4/m m m'
_space_group_IT_number 139
_space_group_name_Hall '-I 4 2'
_cell_length_a 3.3714
_cell_length_b 3.3714
_cell_length_c 19.4856
_cell_angle_alpha 90.00
_cell_angle_beta 90.00
_cell_angle_gamma 90.00
loop_
_atom_site_label
_atom_site_type_symbol
_atom_site_fract_x
_atom_site_fract_y
_atom_site_fract_z
Ca1 Ca 0.0000 0.0000 0.1252
Cd1 Cd 0.0000 0.0000 0.5000
Co1 Co 0.0000 0.5000 0.2500
```

Principal peaks in the range 5° ≤ 2θ ≤ 70°, low angle first:
Position (°2θ)	d/Å	intensity	hkl
18.21	4.871	63.6	0 0 4
29.86	2.992	100.0	1 0 3
35.20	2.550	63.3	1 0 5
36.90	2.436	47.7	0 0 8
38.89	2.316	89.8	1 1 2
47.30	1.922	50.2	1 1 6
54.43	1.686	28.8	2 0 0
61.46	1.509	21.4	1 1 10
63.32	1.469	20.8	2 1 3
67.58	1.386	28.6	2 0 8

=====

3.
Structure and computed powder diffraction line list of CsHfSb2O8 (a GGA-PBE-relaxed structure; Cu Kα, 1.54184 Å).
Kinematic intensities with the Lorentz-polarization factor, no thermal factor.

Structure:
```
data_CsHfSb2O8
_chemical_formula_sum 'Cs1 Hf1 Sb2 O8'
_space_group_name_H-M_alt 'P -3'
_space_group_IT_number 147
_space_group_name_Hall '-P 3'
_cell_length_a 5.7574
_cell_length_b 5.7574
_cell_length_c 8.5465
_cell_angle_alpha 90.00
_cell_angle_beta 90.00
_cell_angle_gamma 120.00
loop_
_atom_site_label
_atom_site_type_symbol
_atom_site_fract_x
_atom_site_fract_y
_atom_site_fract_z
Cs1 Cs 0.0000 0.0000 0.0000
Hf1 Hf 0.0000 0.0000 0.5000
Sb1 Sb 0.3333 0.6667 0.7087
O1 O 0.0692 0.3182 0.6439
O2 O 0.3333 0.6667 0.9325
```

Principal peaks in the range 5° ≤ 2θ ≤ 70°, low angle first:
Position (°2θ)	d/Å	intensity	hkl
10.35	8.546	18.9	0 0 1
17.79	4.986	28.9	1 0 0
20.62	4.307	67.6	0 1 1
27.49	3.245	100.0	0 1 2
31.07	2.879	64.0	1 1 0
41.96	2.153	32.3	2 0 2
46.23	1.964	14.5	1 0 4
53.11	1.724	33.2	3 -2 2
53.40	1.716	19.8	1 1 4
55.27	1.662	15.8	3 0 0

=====

4.
Structure and computed powder diffraction line list of AcPm8Nd4 (a GGA-PBE-relaxed structure; Cu Kα, 1.54184 Å).
Kinematic intensities with the Lorentz-polarization factor, no thermal factor.

Structure:
```
data_AcPm8Nd4
_chemical_formula_sum 'Ac3 Pm24 Nd12'
_space_group_name_H-M_alt 'R -3 m'
_space_group_IT_number 166
_space_group_name_Hall '-R 3 2"'
_cell_length_a 11.3161
_cell_length_b 11.3161
_cell_length_c 13.8807
_cell_angle_alpha 90.00
_cell_angle_beta 90.00
_cell_angle_gamma 120.00
loop_
_atom_site_label
_atom_site_type_symbol
_atom_site_fract_x
_atom_site_fract_y
_atom_site_fract_z
Ac1 Ac 0.0000 0.0000 0.0000
Pm1 Pm 0.0000 0.0000 0.2633
Pm2 Pm 0.0180 0.5090 0.2459
Nd1 Nd 0.0000 0.0000 0.5000
Nd2 Nd 0.0000 0.5000 0.5000
```

Principal peaks in the range 5° ≤ 2θ ≤ 70°, low angle first:
Position (°2θ)	d/Å	intensity	hkl
15.65	5.661	7.3	1 1 0
19.20	4.622	8.0	0 2 1
22.21	4.003	4.3	2 0 2
24.87	3.580	9.8	2 1 1
31.61	2.830	100.0	2 2 0
37.25	2.414	4.3	2 0 5
45.31	2.001	17.9	4 0 4
46.79	1.942	4.9	0 5 1
56.30	1.634	36.6	2 0 8
66.01	1.415	10.9	0 4 8

=====

5.
Structure and computed powder diffraction line list of Pr4AuN (a GGA-PBE-relaxed structure; Cu Kα, 1.54184 Å).
Kinematic intensities with the Lorentz-polarization factor, no thermal factor.

Structure:
```
data_Pr4AuN
_chemical_formula_sum 'Pr8 Au2 N2'
_space_group_name_H-M_alt 'P m m n'
_space_group_IT_number 59
_cell_length_a 5.2640
_cell_length_b 9.5576
_cell_length_c 7.0766
_cell_angle_alpha 90.00
_cell_angle_beta 90.00
_cell_angle_gamma 90.00
loop_
_space_group_symop_operation_xyz
'x,y,z'
'-x,-y,-z'
'-x+1/2,-y+1/2,z'
'x+1/2,y+1/2,-z'
'x+1/2,-y,-z'
'-x+1/2,y,z'
'-x,y+1/2,-z'
'x,-y+1/2,z'
loop_
_atom_site_label
_atom_site_type_symbol
_atom_site_fract_x
_atom_site_fract_y
_atom_site_fract_z
Pr1 Pr 0.2500 0.0464 0.2018
Pr2 Pr 0.2500 0.2500 0.7160
Pr3 Pr 0.2500 0.7500 0.6129
Au1 Au 0.2500 0.7500 0.0357
N1 N 0.2500 0.2500 0.3866
```

Principal peaks in the range 5° ≤ 2θ ≤ 70°, low angle first:
Position (°2θ)	d/Å	intensity	hkl
18.57	4.779	27.9	0 2 0
28.20	3.165	100.0	1 2 1
30.44	2.937	47.0	1 0 2
31.88	2.807	69.2	1 1 2
32.86	2.726	33.2	1 3 0
34.06	2.632	56.7	2 0 0
37.65	2.389	26.2	0 4 0
42.76	2.115	28.3	0 2 3
55.75	1.649	23.6	2 2 3
57.50	1.603	39.8	1 5 2

=====

6.
Structure and computed powder diffraction line list of Ca3Mg2Al (a GGA-PBE-relaxed structure; Cu Kα, 1.54184 Å).
Kinematic intensities with the Lorentz-polarization factor, no thermal factor.

Structure:
```
data_Ca3Mg2Al
_chemical_formula_sum 'Ca3 Mg2 Al1'
_space_group_name_H-M_alt 'P 4/m m m'
_space_group_IT_number 123
_space_group_name_Hall '-P 4 2'
_cell_length_a 3.8022
_cell_length_b 3.8022
_cell_length_c 12.0867
_cell_angle_alpha 90.00
_cell_angle_beta 90.00
_cell_angle_gamma 90.00
loop_
_atom_site_label
_atom_site_type_symbol
_atom_site_fract_x
_atom_site_fract_y
_atom_site_fract_z
Ca1 Ca 0.0000 0.0000 0.0000
Ca2 Ca 0.0000 0.0000 0.3508
Mg1 Mg 0.5000 0.5000 0.1754
Al1 Al 0.5000 0.5000 0.5000
```

Principal peaks in the range 5° ≤ 2θ ≤ 70°, low angle first:
Position (°2θ)	d/Å	intensity	hkl
22.06	4.029	3.5	0 0 3
23.40	3.802	7.1	1 0 0
32.38	2.765	100.0	1 0 3
33.33	2.689	48.5	1 1 0
45.00	2.014	8.0	0 0 6
47.85	1.901	16.3	2 0 0
57.14	1.612	15.0	1 1 6
58.96	1.567	31.6	2 1 3
67.78	1.383	8.6	2 0 6
69.99	1.344	4.8	2 2 0